Entry 1:
Diffraction record for Na3Ca2. The X-ray powder pattern is simulated, not measured: it uses DFT lattice parameters and positions (GGA-PBE) and Cu Kα X-rays.

Largest 12 diffraction maxima, in order of rising 2θ, 2θ from 10° to 90°:
| Position (°2θ) | I (rel.) | hkl |
| --- | --- | --- |
| 15.95 | 393 | 1 0 1 |
| 25.89 | 321 | 1 1 0 |
| 27.68 | 875 | 1 0 4 |
| 30.56 | 1000 | 0 2 1 |
| 31.34 | 733 | 1 1 3 |
| 32.23 | 266 | 2 0 2 |
| 32.85 | 334 | 0 1 5 |
| 46.78 | 373 | 2 1 4 |
| 49.21 | 187 | 3 0 3 |
| 51.81 | 197 | 0 2 7 |
| 53.24 | 259 | 2 2 0 |
| 57.15 | 204 | 2 0 8 |

Structure:
```
data_Na3Ca2
_chemical_formula_sum 'Na9 Ca6'
_cell_length_a 6.8823
_cell_length_b 6.8823
_cell_length_c 15.3279
_cell_angle_alpha 90.00
_cell_angle_beta 90.00
_cell_angle_gamma 120.00
_space_group_name_H-M_alt 'R -3 m'
_space_group_IT_number 166
_space_group_name_Hall '-R 3 2"'
loop_
_atom_site_label
_atom_site_type_symbol
_atom_site_fract_x
_atom_site_fract_y
_atom_site_fract_z
Na1 Na 0.0000 0.5000 0.0000
Ca1 Ca 0.0000 0.0000 0.1244
```

=====

Entry 2:
Diffraction record for Na7Ca2. The X-ray powder pattern is simulated, not measured: it uses DFT lattice parameters and positions (GGA-PBE) and Cu Kα X-rays.

Largest 12 diffraction maxima, in order of rising 2θ, 2θ from 10° to 90°:
| Position (°2θ) | I (rel.) | hkl |
| --- | --- | --- |
| 28.70 | 331 | 0 0 3 |
| 28.83 | 1000 | 1 1 1 |
| 33.37 | 667 | 2 -1 2 |
| 47.83 | 226 | 1 1 4 |
| 48.01 | 218 | 3 0 0 |
| 56.74 | 127 | 2 -1 5 |
| 56.92 | 374 | 3 0 3 |
| 59.73 | 107 | 2 2 2 |
| 70.10 | 62 | 4 -2 4 |
| 77.64 | 88 | 4 1 1 |
| 79.76 | 81 | 3 0 6 |
| 80.03 | 79 | 5 -1 2 |

Structure:
```
data_Na7Ca2
_chemical_formula_sum 'Na7 Ca2'
_cell_length_a 6.5648
_cell_length_b 6.5648
_cell_length_c 9.3328
_cell_angle_alpha 90.00
_cell_angle_beta 90.00
_cell_angle_gamma 120.00
_space_group_name_H-M_alt 'P -3 1 m'
_space_group_IT_number 162
_space_group_name_Hall '-P 3 2'
loop_
_atom_site_label
_atom_site_type_symbol
_atom_site_fract_x
_atom_site_fract_y
_atom_site_fract_z
Na1 Na 0.0000 0.0000 0.0000
Na2 Na 0.0000 0.3283 0.6652
Ca1 Ca 0.3333 0.6667 0.0000
```

=====

Entry 3:
Diffraction record for Na5Ca. The X-ray powder pattern is simulated, not measured: it uses DFT lattice parameters and positions (GGA-PBE) and Cu Kα X-rays.

Largest 12 diffraction maxima, in order of rising 2θ, 2θ from 10° to 90°:
| Position (°2θ) | I (rel.) | hkl |
| --- | --- | --- |
| 29.01 | 287 | 2 0 0 |
| 29.25 | 261 | 0 6 0 |
| 30.33 | 1000 | 1 3 1 |
| 41.66 | 190 | 2 6 0 |
| 45.14 | 79 | 0 0 2 |
| 52.25 | 194 | 3 3 1 |
| 52.55 | 165 | 1 9 1 |
| 54.55 | 86 | 2 0 2 |
| 54.70 | 79 | 0 6 2 |
| 63.10 | 97 | 2 6 2 |
| 69.07 | 65 | 3 9 1 |
| 74.10 | 59 | 1 3 3 |

Structure:
```
data_Na5Ca
_chemical_formula_sum 'Na10 Ca2'
_cell_length_a 6.156
_cell_length_b 18.319
_cell_length_c 4.018
_cell_angle_alpha 90.00
_cell_angle_beta 90.00
_cell_angle_gamma 90.00
_space_group_name_H-M_alt 'C m m m'
_space_group_IT_number 65
_space_group_name_Hall '-C 2 2'
loop_
_atom_site_label
_atom_site_type_symbol
_atom_site_fract_x
_atom_site_fract_y
_atom_site_fract_z
Na1 Na 0.000 0.000 0.000
Na2 Na 0.000 0.157 0.500
Na3 Na 0.000 0.324 0.000
Ca1 Ca 0.000 0.500 0.500
```